For NaCoF3, a DFT-relaxed cell (PBE+U, the Materials Project) gives the theoretical X-ray powder pattern in this record (CuKα).
Neutral-atom scattering factors, no anomalous dispersion.

Most intense lines, 2θ = 5–70°, by intensity:
2θ = 22.6°, I = 100.0, hkl 1 0 1
2θ = 32.1°, I = 94.3, hkl 1 2 1
2θ = 46.0°, I = 66.4, hkl 0 4 0
2θ = 57.9°, I = 34.0, hkl 1 2 3
2θ = 51.9°, I = 30.7, hkl 2 2 2
2θ = 31.6°, I = 24.4, hkl 2 0 0
2θ = 56.6°, I = 19.6, hkl 3 2 1
2θ = 32.6°, I = 18.4, hkl 0 0 2

Cell and atoms:
a = 5.669 Å, b = 7.883 Å, c = 5.489 Å
α = 90.00°, β = 90.00°, γ = 90.00°
Element x y z (fractional)
Na 0.055 0.250 0.015
Na 0.445 0.750 0.515
Na 0.555 0.250 0.485
Na 0.945 0.750 0.985
Co 0.000 0.000 0.500
Co 0.000 0.500 0.500
Co 0.500 0.000 0.000
Co 0.500 0.500 0.000
F 0.040 0.750 0.395
F 0.200 0.555 0.805
F 0.200 0.945 0.805
F 0.300 0.055 0.305
F 0.300 0.445 0.305
F 0.460 0.250 0.895
F 0.540 0.750 0.105
F 0.700 0.555 0.695
F 0.700 0.945 0.695
F 0.800 0.055 0.195
F 0.800 0.445 0.195
F 0.960 0.250 0.605